Theoretical X-ray diffraction stick pattern
Compound: Tl2GaHg3
Radiation: a wavelength of 1.5418 Å
Structure: DFT lattice parameters and positions (GGA-PBE)
Neutral-atom scattering factors, no anomalous dispersion.

Cell and atoms:
```
Tl2GaHg3
1.0
1.740 -14.828 0.000
1.740 14.828 0.000
0.000 0.000 6.412
Tl Ga Hg
4 2 6
direct
0.002 0.998 0.750
0.171 0.829 0.250
0.829 0.171 0.750
0.998 0.002 0.250
0.338 0.662 0.250
0.662 0.338 0.750
0.238 0.762 0.750
0.415 0.585 0.509
0.415 0.585 0.991
0.585 0.415 0.009
0.585 0.415 0.491
0.762 0.238 0.250
```

The 6 most intense peaks (10 to 90 degrees two-theta), low angle first:
| 2θ (°) | Rel. int. |
| --- | --- |
| 29.8 | 88 |
| 30.4 | 37 |
| 32.9 | 51 |
| 33.3 | 100 |
| 36.4 | 49 |
| 38.3 | 67 |

=====

Theoretical X-ray diffraction stick pattern
Compound: Tl3GaHg8
Radiation: a wavelength of 1.5418 Å
Structure: DFT lattice parameters and positions (GGA-PBE)
Neutral-atom scattering factors, no anomalous dispersion.

Cell and atoms:
```
Tl3GaHg8
1.0
10.546 0.000 0.000
-5.273 9.133 0.000
0.000 0.000 6.795
Tl Ga Hg
6 2 16
direct
0.157 0.313 0.000
0.157 0.843 0.000
0.313 0.157 0.500
0.687 0.843 0.000
0.843 0.157 0.500
0.843 0.687 0.500
0.333 0.667 0.243
0.667 0.333 0.743
0.000 0.000 0.250
0.000 0.000 0.750
0.008 0.504 0.230
0.196 0.392 0.504
0.196 0.804 0.504
0.333 0.667 0.820
0.392 0.196 0.004
0.496 0.504 0.230
0.496 0.992 0.230
0.504 0.008 0.730
0.504 0.496 0.730
0.608 0.804 0.504
0.667 0.333 0.320
0.804 0.196 0.004
0.804 0.608 0.004
0.992 0.496 0.730
```

The 6 most intense peaks (10 to 90 degrees two-theta), low angle first:
| 2θ (°) | Rel. int. |
| --- | --- |
| 31.3 | 20 |
| 32.9 | 85 |
| 34.0 | 100 |
| 48.0 | 22 |
| 60.1 | 30 |
| 65.3 | 31 |

=====

Theoretical X-ray diffraction stick pattern
Compound: Tl4GaHg15
Radiation: a wavelength of 1.5418 Å
Structure: DFT lattice parameters and positions (GGA-PBE)
Neutral-atom scattering factors, no anomalous dispersion.

Cell and atoms:
```
Tl4GaHg15
1.0
5.188 0.000 0.000
0.000 4.145 0.000
-2.040 0.000 25.669
Tl Ga Hg
4 1 15
direct
0.010 0.000 0.398
0.031 0.000 0.191
0.969 0.000 0.809
0.990 0.000 0.602
0.000 0.000 0.000
0.000 0.500 0.500
0.012 0.500 0.088
0.015 0.500 0.295
0.468 0.500 0.805
0.485 0.000 0.704
0.489 0.500 0.603
0.490 0.000 0.904
0.500 0.000 0.500
0.500 0.500 0.000
0.510 0.000 0.096
0.511 0.500 0.397
0.515 0.000 0.296
0.532 0.500 0.195
0.985 0.500 0.705
0.988 0.500 0.912
```

The 6 most intense peaks (10 to 90 degrees two-theta), low angle first:
| 2θ (°) | Rel. int. |
| --- | --- |
| 32.0 | 100 |
| 33.5 | 95 |
| 34.7 | 42 |
| 35.0 | 38 |
| 43.7 | 23 |
| 56.9 | 21 |

=====

Theoretical X-ray diffraction stick pattern
Compound: Tl3GaHg5
Radiation: a wavelength of 1.5418 Å
Structure: DFT lattice parameters and positions (GGA-PBE)
Neutral-atom scattering factors, no anomalous dispersion.

Cell and atoms:
```
Tl3GaHg5
1.0
9.755 0.000 0.000
-4.878 8.448 0.000
0.000 0.000 6.086
Tl Ga Hg
6 2 10
direct
0.000 0.386 0.250
0.000 0.614 0.750
0.386 0.000 0.250
0.386 0.386 0.750
0.614 0.000 0.750
0.614 0.614 0.250
0.000 0.000 0.000
0.000 0.000 0.500
0.000 0.268 0.750
0.000 0.732 0.250
0.268 0.000 0.750
0.268 0.268 0.250
0.333 0.667 0.000
0.333 0.667 0.500
0.667 0.333 0.000
0.667 0.333 0.500
0.732 0.000 0.250
0.732 0.732 0.750
```

The 6 most intense peaks (10 to 90 degrees two-theta), low angle first:
| 2θ (°) | Rel. int. |
| --- | --- |
| 31.6 | 87 |
| 31.8 | 97 |
| 34.7 | 100 |
| 41.3 | 23 |
| 47.8 | 29 |
| 49.4 | 21 |

=====

Theoretical X-ray diffraction stick pattern
Compound: Tl5Ga2Hg4
Radiation: a wavelength of 1.5418 Å
Structure: DFT lattice parameters and positions (GGA-PBE)
Neutral-atom scattering factors, no anomalous dispersion.

Cell and atoms:
```
Tl5Ga2Hg4
1.0
12.314 -1.731 0.000
12.314 1.731 0.000
-1.010 0.000 7.274
Tl Ga Hg
5 2 4
direct
0.000 0.000 0.000
0.296 0.296 0.386
0.397 0.397 0.730
0.603 0.603 0.270
0.704 0.704 0.614
0.281 0.281 0.902
0.719 0.719 0.098
0.134 0.134 0.898
0.452 0.452 0.355
0.548 0.548 0.645
0.866 0.866 0.102
```

The 6 most intense peaks (10 to 90 degrees two-theta), low angle first:
| 2θ (°) | Rel. int. |
| --- | --- |
| 29.0 | 55 |
| 30.6 | 100 |
| 33.4 | 47 |
| 36.4 | 84 |
| 36.6 | 66 |
| 37.5 | 41 |

=====

Theoretical X-ray diffraction stick pattern
Compound: Tl3GaHg
Radiation: a wavelength of 1.5418 Å
Structure: DFT lattice parameters and positions (GGA-PBE)
Neutral-atom scattering factors, no anomalous dispersion.

Cell and atoms:
```
Tl3GaHg
1.0
12.308 0.000 0.000
0.000 12.308 0.000
0.000 0.000 3.678
Tl Ga Hg
12 4 4
direct
0.015 0.333 0.000
0.129 0.871 0.500
0.167 0.515 0.500
0.333 0.015 0.000
0.371 0.371 0.000
0.485 0.833 0.500
0.515 0.167 0.500
0.629 0.629 0.000
0.667 0.985 0.000
0.833 0.485 0.500
0.871 0.129 0.500
0.985 0.667 0.000
0.082 0.082 0.000
0.418 0.582 0.500
0.582 0.418 0.500
0.918 0.918 0.000
0.215 0.215 0.500
0.285 0.715 0.000
0.715 0.285 0.000
0.785 0.785 0.500
```

The 6 most intense peaks (10 to 90 degrees two-theta), low angle first:
| 2θ (°) | Rel. int. |
| --- | --- |
| 30.8 | 43 |
| 32.5 | 22 |
| 32.7 | 100 |
| 33.5 | 46 |
| 44.8 | 17 |
| 53.8 | 17 |

=====

Theoretical X-ray diffraction stick pattern
Compound: Tl3GaHg4
Radiation: a wavelength of 1.5418 Å
Structure: DFT lattice parameters and positions (GGA-PBE)
Neutral-atom scattering factors, no anomalous dispersion.

Cell and atoms:
```
Tl3GaHg4
1.0
6.307 0.000 0.000
0.000 10.804 0.000
0.000 0.000 6.641
Tl Ga Hg
6 2 8
direct
0.000 0.000 0.000
0.000 0.297 0.734
0.000 0.703 0.734
0.500 0.203 0.234
0.500 0.500 0.500
0.500 0.797 0.234
0.000 0.500 0.393
0.500 0.000 0.893
0.000 0.249 0.245
0.000 0.751 0.245
0.235 0.000 0.519
0.265 0.500 0.019
0.500 0.251 0.745
0.500 0.749 0.745
0.735 0.500 0.019
0.765 0.000 0.519
```

The 6 most intense peaks (10 to 90 degrees two-theta), low angle first:
| 2θ (°) | Rel. int. |
| --- | --- |
| 31.6 | 100 |
| 32.5 | 42 |
| 32.9 | 33 |
| 33.2 | 33 |
| 39.4 | 26 |
| 40.4 | 25 |

=====

Theoretical X-ray diffraction stick pattern
Compound: Tl5GaHg2
Radiation: a wavelength of 1.5418 Å
Structure: DFT lattice parameters and positions (GGA-PBE)
Neutral-atom scattering factors, no anomalous dispersion.

Cell and atoms:
```
Tl5GaHg2
1.0
7.738 0.000 0.000
0.000 15.483 0.000
0.000 0.000 3.779
Tl Ga Hg
10 2 4
direct
0.000 0.000 0.000
0.011 0.234 0.000
0.224 0.380 0.500
0.276 0.880 0.500
0.489 0.734 0.000
0.500 0.500 0.000
0.511 0.266 0.000
0.724 0.120 0.500
0.776 0.620 0.500
0.989 0.766 0.000
0.000 0.500 0.000
0.500 0.000 0.000
0.218 0.616 0.500
0.282 0.116 0.500
0.718 0.884 0.500
0.782 0.384 0.500
```

The 6 most intense peaks (10 to 90 degrees two-theta), low angle first:
| 2θ (°) | Rel. int. |
| --- | --- |
| 32.7 | 48 |
| 33.1 | 100 |
| 47.0 | 15 |
| 58.7 | 30 |
| 59.4 | 18 |
| 69.5 | 10 |